Computed powder X-ray diffraction pattern of Pm2ZrPaP4 for Cu Kα (weighted mean of Kα1 and Kα2), from a cell relaxed with PBE.

Top 6 peaks for 10° ≤ 2θ ≤ 80°, sorted by position:
hkl	2θ/deg	Rel. int.
0 0 2	27.2	33
2 0 0	27.5	95
1 1 1	31.7	100
2 0 -2	31.8	50
2 0 2	45.3	54
3 1 -1	45.8	36

Crystal structure
abc: 6.860 3.982 6.943
angles: 90.00 109.19 90.00
Space group P2/m (No. 10)
Asymmetric unit:
Pm (0.000, 0.000, 0.000) [1 per cell]
Pm (0.500, 0.500, 0.000) [1 per cell]
Zr (0.000, 0.500, 0.500) [1 per cell]
Pa (0.500, 0.000, 0.500) [1 per cell]
P (0.239, 0.000, 0.729) [2 per cell]
P (0.250, 0.500, 0.267) [2 per cell]